(1)
Calculated X-ray diffraction stick pattern
Compound: Na2Ga3
Radiation: Cu Kα X-rays
Structure: the GGA-PBE geometry in Alexandria
No peak broadening, texture or thermal motion is included.

abc: 5.797 7.928 9.600
angles: 90.00 90.00 90.00
Space group Pbcn (No. 60)
One atom of each set of equivalent atoms:
Na1 0.107 0.177 0.085 [8 per cell]
Ga1 0.000 0.150 0.750 [4 per cell]
Ga2 0.115 0.476 0.866 [8 per cell]

Largest 10 diffraction maxima, in order of rising 2θ, 15° ≤ 2θ ≤ 90°:
index, two_theta, I (rel.)
0 0 2, 18.5, 26
1 1 1, 21.1, 51
0 2 0, 22.4, 29
1 0 2, 24.1, 31
1 2 2, 33.1, 66
1 1 3, 33.9, 37
0 2 3, 36.1, 40
1 3 0, 37.4, 94
2 1 2, 38.0, 100
1 1 4, 42.3, 55

---

(2)
Calculated X-ray diffraction stick pattern
Compound: Tl3Hg3Pb
Radiation: Cu Kα X-rays
Structure: the GGA-PBE geometry in Alexandria
No peak broadening, texture or thermal motion is included.

abc: 10.445 10.020 8.196
angles: 90.00 91.75 90.00
Space group C2/m (No. 12)
One atom of each set of equivalent atoms:
Tl1 0.000 0.222 0.000 [4 per cell]
Tl2 0.000 0.236 0.500 [4 per cell]
Tl3 0.243 0.000 0.465 [4 per cell]
Hg1 0.020 0.500 0.246 [4 per cell]
Hg2 0.244 0.223 0.752 [8 per cell]
Pb1 0.243 0.500 0.962 [4 per cell]

Largest 10 diffraction maxima, in order of rising 2θ, 15° ≤ 2θ ≤ 90°:
index, two_theta, I (rel.)
1 3 0, 28.1, 16
2 2 -2, 32.7, 100
2 2 2, 33.4, 91
4 0 0, 34.4, 47
0 4 0, 35.8, 36
0 0 4, 44.2, 20
4 4 0, 50.5, 26
4 0 4, 58.2, 21
6 2 -2, 60.0, 17
6 2 2, 61.4, 14

---

(3)
Calculated X-ray diffraction stick pattern
Compound: Dy4Ho5Er4
Radiation: Cu Kα X-rays
Structure: the GGA-PBE geometry in Alexandria
No peak broadening, texture or thermal motion is included.

abc: 12.676 12.676 4.967
angles: 90.00 90.00 90.00
Space group I4/m (No. 87)
One atom of each set of equivalent atoms:
Dy1 0.154 0.231 0.000 [8 per cell]
Ho1 0.000 0.000 0.000 [2 per cell]
Ho2 0.038 0.807 0.500 [8 per cell]
Er1 0.077 0.615 0.000 [8 per cell]

Largest 8 diffraction maxima, in order of rising 2θ, 15° ≤ 2θ ≤ 90°:
index, two_theta, I (rel.)
2 3 1, 31.2, 100
5 1 0, 36.1, 51
5 1 2, 52.0, 36
7 4 1, 61.9, 43
4 6 2, 65.0, 12
10 2 0, 76.7, 6
7 4 3, 85.1, 18
10 2 2, 87.8, 17

---

(4)
Calculated X-ray diffraction stick pattern
Compound: GaReCl6O2
Radiation: Cu Kα X-rays
Structure: the GGA-PBE geometry in Alexandria
No peak broadening, texture or thermal motion is included.

abc: 12.491 8.782 11.817
angles: 90.00 107.51 90.00
Space group P2_1/c (No. 14)
One atom of each set of equivalent atoms:
Ga1 0.248 0.145 0.125 [4 per cell]
Re1 0.257 0.728 0.126 [4 per cell]
Cl1 0.101 0.730 0.682 [4 per cell]
Cl2 0.120 0.224 0.668 [4 per cell]
Cl3 0.170 0.532 0.483 [4 per cell]
Cl4 0.327 0.528 0.770 [4 per cell]
Cl5 0.376 0.229 0.579 [4 per cell]
Cl6 0.409 0.703 0.571 [4 per cell]
O1 0.198 0.609 0.010 [4 per cell]
O2 0.325 0.611 0.241 [4 per cell]

Largest 10 diffraction maxima, in order of rising 2θ, 15° ≤ 2θ ≤ 90°:
index, two_theta, I (rel.)
1 0 -2, 15.2, 100
0 1 2, 18.7, 18
1 0 2, 19.3, 75
0 2 0, 20.2, 38
3 0 -2, 23.2, 19
1 2 -2, 25.4, 22
1 2 2, 28.1, 71
4 1 -2, 31.2, 18
5 0 -2, 36.3, 18
0 2 4, 37.9, 21

---

Number 2 is which compound? Tl3Hg3Pb